1.
Computed X-ray powder pattern
Compound: Na2MgNb2O6
Radiation: Cu Kα X-rays
Structure: the GGA-PBE geometry in the Materials Project
Intensities are scaled so that the largest is 100.

Crystal structure
Cell: 4.1222 8.2766 8.2278 Å, 90.00 90.00 90.00°
Space group Amm2 (No. 38)
Asymmetric unit:
Na: 0.0000 0.0000 0.0000 [2 per cell]
Na: 0.0000 0.0000 0.3335 [2 per cell]
Mg: 0.0000 0.0000 0.6682 [2 per cell]
Nb: 0.5000 0.2433 0.1775 [4 per cell]
O: 0.0000 0.2424 0.6769 [4 per cell]
O: 0.5000 0.0000 0.1551 [2 per cell]
O: 0.5000 0.0000 0.7035 [2 per cell]
O: 0.5000 0.2239 0.4275 [4 per cell]

Largest 10 diffraction maxima, most intense first, 2θ = 15–90°:
2θ/deg, I/Imax, hkl
30.6, 100, 1 2 0
21.6, 62, 0 0 2
21.5, 55, 1 0 0
44.0, 37, 2 0 0
49.5, 30, 0 2 4
43.7, 22, 0 4 0
54.5, 20, 1 2 4
63.8, 20, 2 4 0
49.3, 18, 0 4 2
68.2, 17, 2 4 2

2.
Computed X-ray powder pattern
Compound: KMg6C
Radiation: Cu Kα X-rays
Structure: the GGA-PBE geometry in the Materials Project
Intensities are scaled so that the largest is 100.

Crystal structure
Cell: 3.1116 8.6152 15.0106 Å, 90.00 90.00 90.00°
Space group Amm2 (No. 38)
Asymmetric unit:
K: 0.0000 0.0000 0.0000 [2 per cell]
Mg: 0.0000 0.1780 0.7443 [4 per cell]
Mg: 0.5000 0.0000 0.2165 [2 per cell]
Mg: 0.5000 0.0000 0.5776 [2 per cell]
Mg: 0.5000 0.1577 0.4043 [4 per cell]
C: 0.0000 0.0000 0.4680 [2 per cell]

Largest 10 diffraction maxima, most intense first, 2θ = 15–90°:
2θ/deg, I/Imax, hkl
37.6, 100, 1 0 4
31.1, 60, 1 1 1
23.8, 53, 0 2 2
36.1, 52, 0 3 3
31.6, 47, 0 1 5
53.1, 31, 1 4 2
23.7, 29, 0 0 4
35.5, 24, 1 1 3
20.6, 23, 0 2 0
64.6, 20, 0 3 9

3.
Computed X-ray powder pattern
Compound: Li3Ca
Radiation: Cu Kα X-rays
Structure: the GGA-PBE geometry in the Materials Project
Intensities are scaled so that the largest is 100.

Crystal structure
Cell: 7.4885 7.4885 7.4885 Å, 90.00 90.00 90.00°
Space group Fm-3m (No. 225)
Asymmetric unit:
Li: 0.0000 0.0000 0.0000 [4 per cell]
Li: 0.2500 0.2500 0.2500 [8 per cell]
Ca: 0.0000 0.0000 0.5000 [4 per cell]

Largest 10 diffraction maxima, most intense first, 2θ = 15–90°:
2θ/deg, I/Imax, hkl
20.5, 100, 1 1 1
33.9, 95, 2 2 0
23.8, 52, 2 0 0
39.9, 48, 3 1 1
60.6, 32, 4 2 2
53.3, 19, 3 3 1
54.8, 17, 4 2 0
48.6, 16, 4 0 0
41.8, 14, 2 2 2
64.7, 13, 5 1 1

4.
Computed X-ray powder pattern
Compound: TiH2
Radiation: Cu Kα X-rays
Structure: the GGA-PBE geometry in the Materials Project
Intensities are scaled so that the largest is 100.

Crystal structure
Cell: 4.4243 4.4243 4.4243 Å, 90.00 90.00 90.00°
Space group Fm-3m (No. 225)
Asymmetric unit:
Ti: 0.0000 0.0000 0.0000 [4 per cell]
H: 0.2500 0.2500 0.2500 [8 per cell]

Largest 6 diffraction maxima, most intense first, 2θ = 15–90°:
2θ/deg, I/Imax, hkl
35.1, 100, 1 1 1
40.8, 43, 2 0 0
70.6, 32, 3 1 1
59.1, 31, 2 2 0
74.3, 9, 2 2 2
88.4, 4, 4 0 0

5.
Computed X-ray powder pattern
Compound: Mg14CuSi
Radiation: Cu Kα X-rays
Structure: the GGA-PBE geometry in the Materials Project
Intensities are scaled so that the largest is 100.

Crystal structure
Cell: 6.1732 6.1732 10.1840 Å, 90.00 90.00 120.00°
Space group P-6m2 (No. 187)
Asymmetric unit:
Mg: 0.0000 0.0000 0.2484 [2 per cell]
Mg: 0.0086 0.5043 0.2475 [6 per cell]
Mg: 0.3323 0.1662 0.0000 [3 per cell]
Mg: 0.3328 0.1664 0.5000 [3 per cell]
Cu: 0.3333 0.6667 0.0000 [1 per cell]
Si: 0.3333 0.6667 0.5000 [1 per cell]

Largest 10 diffraction maxima, most intense first, 2θ = 15–90°:
2θ/deg, I/Imax, hkl
38.0, 100, 2 0 2
35.3, 27, 0 0 4
33.5, 24, 2 0 0
65.1, 19, 2 0 6
71.5, 19, 2 2 4
59.9, 16, 2 2 0
49.4, 16, 2 0 4
73.2, 13, 4 0 2
16.6, 7, 1 0 0
18.7, 6, 1 0 1

6.
Computed X-ray powder pattern
Compound: Mg6BSb
Radiation: Cu Kα X-rays
Structure: the GGA-PBE geometry in the Materials Project
Intensities are scaled so that the largest is 100.

Crystal structure
Cell: 3.8877 8.6525 9.8888 Å, 90.00 90.00 90.00°
Space group Amm2 (No. 38)
Asymmetric unit:
Mg: 0.0000 0.0000 0.0000 [2 per cell]
Mg: 0.0000 0.0000 0.4680 [2 per cell]
Mg: 0.0000 0.1727 0.7285 [4 per cell]
Mg: 0.5000 0.2424 0.4923 [4 per cell]
B: 0.5000 0.0000 0.6251 [2 per cell]
Sb: 0.5000 0.0000 0.2294 [2 per cell]

Largest 10 diffraction maxima, most intense first, 2θ = 15–90°:
2θ/deg, I/Imax, hkl
36.0, 100, 1 2 2
26.7, 61, 1 1 1
37.2, 38, 1 1 3
32.3, 31, 0 3 1
36.3, 26, 0 0 4
20.5, 17, 0 2 0
46.7, 15, 2 0 0
65.1, 14, 1 2 6
27.4, 14, 0 2 2
41.6, 13, 0 3 3

7.
Computed X-ray powder pattern
Compound: TlPd3
Radiation: Cu Kα X-rays
Structure: the GGA-PBE geometry in the Materials Project
Intensities are scaled so that the largest is 100.

Crystal structure
Cell: 4.2154 4.2154 7.6695 Å, 90.00 90.00 90.00°
Space group I4/mmm (No. 139)
Asymmetric unit:
Tl: 0.0000 0.0000 0.0000 [2 per cell]
Pd: 0.0000 0.0000 0.5000 [2 per cell]
Pd: 0.0000 0.5000 0.2500 [4 per cell]

Largest 10 diffraction maxima, most intense first, 2θ = 15–90°:
2θ/deg, I/Imax, hkl
38.2, 100, 1 1 2
42.9, 36, 2 0 0
75.5, 27, 3 1 2
65.9, 20, 2 0 4
47.4, 14, 0 0 4
62.3, 12, 2 2 0
81.9, 11, 2 2 4
82.0, 11, 1 1 6
24.1, 9, 1 0 1
49.8, 3, 2 1 1

8.
Computed X-ray powder pattern
Compound: Ti3As
Radiation: Cu Kα X-rays
Structure: the GGA-PBE geometry in the Materials Project
Intensities are scaled so that the largest is 100.

Crystal structure
Cell: 5.0218 5.0218 5.0218 Å, 90.00 90.00 90.00°
Space group Pm-3n (No. 223)
Asymmetric unit:
Ti: 0.0000 0.2500 0.5000 [6 per cell]
As: 0.0000 0.0000 0.0000 [2 per cell]

Largest 10 diffraction maxima, most intense first, 2θ = 15–90°:
2θ/deg, I/Imax, hkl
44.2, 100, 2 1 1
40.2, 75, 2 1 0
70.1, 47, 3 2 1
35.8, 46, 2 0 0
67.2, 14, 3 2 0
75.8, 14, 4 0 0
86.7, 13, 4 2 0
25.1, 13, 1 1 0
89.4, 12, 4 2 1
58.1, 3, 3 1 0

9.
Computed X-ray powder pattern
Compound: Rb3RuF6
Radiation: Cu Kα X-rays
Structure: the GGA-PBE geometry in the Materials Project
Intensities are scaled so that the largest is 100.

Crystal structure
Cell: 6.9936 7.0917 7.1765 Å, 100.14 108.16 100.12°
Space group P-1 (No. 2)
Asymmetric unit:
Rb: 0.0000 0.0000 0.0000 [1 per cell]
Rb: 0.0000 0.5000 0.5000 [1 per cell]
Rb: 0.5000 0.0000 0.5000 [1 per cell]
Ru: 0.0000 0.0000 0.5000 [1 per cell]
F: 0.0263 0.7879 0.2877 [2 per cell]
F: 0.1940 0.2001 0.4199 [2 per cell]
F: 0.2332 0.9298 0.7088 [2 per cell]

Largest 10 diffraction maxima, most intense first, 2θ = 15–90°:
2θ/deg, I/Imax, hkl
27.0, 100, 0 0 2
26.3, 94, 0 2 0
27.7, 90, 2 0 0
32.9, 68, 0 2 -2
31.2, 62, 2 0 -2
41.4, 59, 2 2 -2
33.4, 54, 2 -2 0
41.2, 52, -2 2 2
45.6, 42, 2 -2 2
42.7, 40, 0 2 2

10.
Computed X-ray powder pattern
Compound: KBa3Ga5Se10Cl2
Radiation: Cu Kα X-rays
Structure: the GGA-PBE geometry in the Materials Project
Intensities are scaled so that the largest is 100.

Crystal structure
Cell: 8.7811 8.7869 10.0486 Å, 64.22 64.33 89.98°
Space group P1 (No. 1)
Asymmetric unit:
K: 0.0000 0.0000 0.0000 [1 per cell]
Ba: 0.3593 0.8364 0.5432 [1 per cell]
Ba: 0.7407 0.4761 0.0008 [1 per cell]
Ba: 0.8376 0.0986 0.5426 [1 per cell]
Ga: 0.2231 0.4952 0.1016 [1 per cell]
Ga: 0.3435 0.4233 0.4409 [1 per cell]
Ga: 0.4134 0.8812 0.1037 [1 per cell]
Ga: 0.4823 0.3514 0.7731 [1 per cell]
Ga: 0.9589 0.6171 0.4382 [1 per cell]
Se: 0.0544 0.4235 0.6293 [1 per cell]
Se: 0.1364 0.9087 0.2901 [1 per cell]
Se: 0.1984 0.4022 0.9169 [1 per cell]
Se: 0.3176 0.2811 0.2881 [1 per cell]
Se: 0.4176 0.7804 0.9136 [1 per cell]
Se: 0.4413 0.2147 0.6224 [1 per cell]
Se: 0.5556 0.7008 0.2559 [1 per cell]
Se: 0.6236 0.1601 0.9177 [1 per cell]
Se: 0.6782 0.6383 0.6257 [1 per cell]
Se: 0.9293 0.5161 0.2573 [1 per cell]
Cl: 0.7306 0.1032 0.2759 [1 per cell]
Cl: 0.9841 0.8512 0.7703 [1 per cell]

Largest 10 diffraction maxima, most intense first, 2θ = 15–90°:
2θ/deg, I/Imax, hkl
28.4, 100, 1 2 3
28.2, 98, -2 1 1
32.2, 27, 3 1 2
47.4, 23, 3 1 -1
23.3, 20, 1 2 1
37.3, 20, 3 2 3
46.2, 19, 2 4 3
46.2, 17, 4 -2 1
47.6, 16, 3 1 5
23.2, 15, 2 0 2